# 1
Structure and calculated X-ray diffraction stick pattern of SnPIr2Rh (a PBE-relaxed structure; Cu Kα, 1.54184 Å).

Largest 10 diffraction maxima, most intense first, 10° ≤ 2θ ≤ 90°:
d 2.804, 31.92 deg, I 100.0
d 2.435, 36.92 deg, I 88.7
d 4.832, 18.36 deg, I 78.8
d 1.715, 53.43 deg, I 61.7
d 2.416, 37.22 deg, I 43.4
d 2.174, 41.53 deg, I 43.1
d 3.430, 25.98 deg, I 42.1
d 1.402, 66.71 deg, I 31.8
d 1.722, 53.20 deg, I 31.2
d 1.467, 63.40 deg, I 27.5

Structure:
Cell: 4.869 4.869 4.832 Å, 90.00 90.00 90.00°
Space group P4/mmm (No. 123)
Symmetry-distinct sites (fractional):
1 Sn 0.000 0.000 0.000 x1
2 P 0.000 0.000 0.500 x1
3 Ir 0.000 0.500 0.000 x2
4 Rh 0.500 0.500 0.500 x1

# 2
Structure and calculated X-ray diffraction stick pattern of ThP2Ir5Rh (a PBE-relaxed structure; Cu Kα, 1.54184 Å).

Largest 10 diffraction maxima, most intense first, 10° ≤ 2θ ≤ 90°:
d 2.477, 36.26 deg, I 100.0
d 3.455, 25.78 deg, I 92.7
d 2.721, 32.91 deg, I 92.1
d 1.727, 53.01 deg, I 73.0
d 1.994, 45.48 deg, I 69.1
d 1.908, 47.66 deg, I 62.8
d 1.306, 72.37 deg, I 52.3
d 1.134, 85.65 deg, I 24.2
d 2.185, 41.32 deg, I 23.2
d 1.410, 66.28 deg, I 22.7

Structure:
Cell: 3.989 3.989 10.366 Å, 90.00 90.00 90.00°
Space group P4/mmm (No. 123)
Symmetry-distinct sites (fractional):
1 Th 0.000 0.000 0.000 x1
2 P 0.500 0.500 0.223 x2
3 Ir 0.000 0.500 0.335 x4
4 Ir 0.500 0.500 0.000 x1
5 Rh 0.000 0.000 0.500 x1

# 3
Structure and calculated X-ray diffraction stick pattern of Y3P2IrRh9 (a PBE-relaxed structure; Cu Kα, 1.54184 Å).

Largest 10 diffraction maxima, most intense first, 10° ≤ 2θ ≤ 90°:
d 2.225, 40.55 deg, I 100.0
d 2.434, 36.94 deg, I 62.8
d 4.449, 19.96 deg, I 29.5
d 1.453, 64.06 deg, I 27.8
d 2.480, 36.22 deg, I 22.4
d 5.035, 17.61 deg, I 20.8
d 1.217, 78.61 deg, I 18.5
d 1.728, 52.99 deg, I 18.1
d 3.168, 28.17 deg, I 17.7
d 2.149, 42.05 deg, I 16.7

Structure:
Cell: 5.8139 5.8139 9.5043 Å, 90.00 90.00 120.00°
Space group P-3m1 (No. 164)
Symmetry-distinct sites (fractional):
1 Y 0.0000 0.0000 0.0000 x1
2 Y 0.3333 0.6667 0.5998 x2
3 P 0.3333 0.6667 0.1567 x2
4 Ir 0.0000 0.0000 0.5000 x1
5 Rh 0.0000 0.5000 0.0000 x3
6 Rh 0.1536 0.3072 0.2845 x6

# 4
Structure and calculated X-ray diffraction stick pattern of UP2IrRu2 (a PBE-relaxed structure; Cu Kα, 1.54184 Å).

Largest 10 diffraction maxima, most intense first, 10° ≤ 2θ ≤ 90°:
d 2.382, 37.76 deg, I 100.0
d 2.678, 33.46 deg, I 55.3
d 3.038, 29.40 deg, I 53.1
d 1.991, 45.55 deg, I 37.3
d 1.923, 47.27 deg, I 24.7
d 2.329, 38.66 deg, I 22.9
d 3.731, 23.85 deg, I 21.7
d 1.338, 70.39 deg, I 18.0
d 1.383, 67.75 deg, I 16.4
d 1.707, 53.68 deg, I 16.0

Structure:
Cell: 3.846 6.643 7.461 Å, 90.00 90.00 90.00°
Space group Pmc2_1 (No. 26)
Symmetry-distinct sites (fractional):
1 U 0.000 0.156 0.000 x2
2 P 0.000 0.376 0.297 x2
3 P 0.500 0.141 0.691 x2
4 Ir 0.500 0.147 0.368 x2
5 Ru 0.000 0.338 0.605 x2
6 Ru 0.500 0.430 0.870 x2

# 5
Structure and calculated X-ray diffraction stick pattern of P2IrS (a PBE-relaxed structure; Cu Kα, 1.54184 Å).

Largest 10 diffraction maxima, most intense first, 10° ≤ 2θ ≤ 90°:
d 4.308, 20.62 deg, I 100.0
d 4.012, 22.16 deg, I 62.0
d 4.042, 21.99 deg, I 61.1
d 2.817, 31.76 deg, I 49.4
d 2.805, 31.90 deg, I 47.8
d 1.878, 48.49 deg, I 44.6
d 2.420, 37.16 deg, I 43.4
d 2.364, 38.07 deg, I 42.4
d 2.356, 38.21 deg, I 30.3
d 3.311, 26.93 deg, I 24.5

Structure:
Cell: 3.573 4.556 5.156 Å, 115.65 109.68 90.24°
Space group P1 (No. 1)
Symmetry-distinct sites (fractional):
1 P 0.000 0.000 0.000 x1
2 P 0.189 0.539 0.365 x1
3 Ir 0.436 0.632 0.871 x1
4 S 0.849 0.222 0.695 x1

# 6
Structure and calculated X-ray diffraction stick pattern of Sc3P2Ir7 (a PBE-relaxed structure; Cu Kα, 1.54184 Å).

Largest 10 diffraction maxima, most intense first, 10° ≤ 2θ ≤ 90°:
d 2.467, 36.42 deg, I 100.0
d 2.244, 40.19 deg, I 61.9
d 2.659, 33.70 deg, I 29.5
d 1.989, 45.61 deg, I 28.5
d 3.305, 26.98 deg, I 27.2
d 1.956, 46.42 deg, I 27.1
d 1.821, 50.10 deg, I 25.9
d 6.610, 13.40 deg, I 21.9
d 1.245, 76.51 deg, I 20.9
d 3.912, 22.73 deg, I 18.7

Structure:
Cell: 3.978 26.439 3.912 Å, 90.00 90.00 90.00°
Space group Cmmm (No. 65)
Symmetry-distinct sites (fractional):
1 Sc 0.000 0.000 0.000 x2
2 Sc 0.000 0.204 0.000 x4
3 P 0.000 0.414 0.500 x4
4 Ir 0.000 0.131 0.500 x4
5 Ir 0.000 0.288 0.500 x4
6 Ir 0.000 0.368 0.000 x4
7 Ir 0.000 0.500 0.500 x2